Structure and calculated powder XRD pattern of CdIBr (a structure optimized by DFT (PBE); Cu Kα).
No peak broadening, texture or thermal motion is included.

Structure:
```
CdIBr
1.0
2.1099 1.2182 14.1618
-2.1099 1.2182 14.1618
0.0000 -2.4364 14.1618
Cd I Br
2 2 2
Direct
0.0000 0.0000 0.0000
0.5001 0.5001 0.5001
0.1254 0.1254 0.1254
0.2921 0.2921 0.2921
0.7025 0.7025 0.7025
0.8694 0.8694 0.8694
```

The 6 most intense peaks (2θ from 10° to 90°), sorted by position:
| 2θ/deg | d [Å] | I_rel |
| --- | --- | --- |
| 12.50 | 7.081 | 100 |
| 26.55 | 3.357 | 74 |
| 28.51 | 3.131 | 68 |
| 29.67 | 3.011 | 47 |
| 32.31 | 2.771 | 59 |
| 42.86 | 2.110 | 73 |